Entry 1:
Calculated XRD peak list of Dy5Mg4Tl for Cu Kα (weighted mean of Kα1 and Kα2), from a structure optimized by DFT (GGA-PBE).
Neutral-atom scattering factors, no anomalous dispersion.

Principal peaks in the range 2θ from 5° to 70°, sorted by position:
9.36°, rel. 6.7, hkl 0 0 2
23.49°, rel. 24.9, hkl 1 0 0
33.46°, rel. 100.0, hkl 1 1 0
41.29°, rel. 7.6, hkl 1 1 5
48.00°, rel. 12.2, hkl 2 0 0
48.14°, rel. 6.0, hkl 0 0 10
54.11°, rel. 7.0, hkl 2 1 0
59.81°, rel. 37.8, hkl 2 1 5

Structure:
abc: 3.7908 3.7908 18.9029
angles: 90.00 90.00 90.00
Fractional coordinates of all 10 atoms:
Dy 0.0000 0.0000 0.0000
Dy 0.0000 0.0000 0.2001
Dy 0.0000 0.0000 0.3980
Dy 0.0000 0.0000 0.6020
Dy 0.0000 0.0000 0.7999
Mg 0.5000 0.5000 0.1001
Mg 0.5000 0.5000 0.2975
Mg 0.5000 0.5000 0.7025
Mg 0.5000 0.5000 0.8999
Tl 0.5000 0.5000 0.5000



Entry 2:
Calculated XRD peak list of LaPaGeO6 for Cu Kα (weighted mean of Kα1 and Kα2), from a structure optimized by DFT (GGA-PBE).
Neutral-atom scattering factors, no anomalous dispersion.

Principal peaks in the range 2θ from 5° to 70°, sorted by position:
18.47°, rel. 14.7, hkl 1 0 0
26.60°, rel. 100.0, hkl 1 0 2
32.27°, rel. 42.9, hkl 1 1 0
42.30°, rel. 29.6, hkl 2 0 2
51.10°, rel. 35.0, hkl 1 1 4
54.19°, rel. 28.7, hkl 2 1 2
57.55°, rel. 13.0, hkl 3 0 0
62.68°, rel. 9.3, hkl 1 0 6

Structure:
abc: 5.5479 5.5479 9.3495
angles: 90.00 90.00 120.00
Fractional coordinates of all 18 atoms:
La 0.3333 0.6667 0.2500
La 0.6667 0.3333 0.7500
Pa 0.0000 0.0000 0.0000
Pa 0.0000 0.0000 0.5000
Ge 0.3333 0.6667 0.7500
Ge 0.6667 0.3333 0.2500
O 0.0661 0.3606 0.6298
O 0.0661 0.7054 0.8702
O 0.2946 0.3606 0.8702
O 0.2946 0.9339 0.6298
O 0.3606 0.0661 0.1298
O 0.3606 0.2946 0.3702
O 0.6394 0.7054 0.6298
O 0.6394 0.9339 0.8702
O 0.7054 0.0661 0.3702
O 0.7054 0.6394 0.1298
O 0.9339 0.2946 0.1298
O 0.9339 0.6394 0.3702